No. 1
Diffraction record for BaSn2S3. The X-ray diffraction stick pattern is computed, not measured: it uses a crystal structure in the Materials Project, relaxed with PBE and Cu Kα (λ = 1.5418 Å).
Intensities are scaled so that the largest is 1000.

Top 10 peaks for 2θ = 15–90°, sorted by position:
| 2theta | I (rel.) |
| --- | --- |
| 22.50 | 191 |
| 22.81 | 544 |
| 24.64 | 598 |
| 29.93 | 923 |
| 30.16 | 1000 |
| 36.77 | 220 |
| 37.36 | 397 |
| 39.57 | 240 |
| 43.51 | 268 |
| 48.08 | 160 |

Crystal structure
```
BaSn2S3
1.0
6.2448 0.0000 0.0000
0.0000 13.6646 0.0000
-2.3407 0.0000 11.8554
Ba Sn S
6 12 18
direct
0.1235 0.2500 0.4745
0.2007 0.0783 0.8719
0.2007 0.4217 0.8719
0.7993 0.5783 0.1281
0.7993 0.9217 0.1281
0.8765 0.7500 0.5255
0.1574 0.7500 0.9008
0.2246 0.5521 0.4477
0.2246 0.9479 0.4477
0.3827 0.7500 0.2082
0.4535 0.1140 0.2278
0.4535 0.3860 0.2278
0.5465 0.6140 0.7722
0.5465 0.8860 0.7722
0.6173 0.2500 0.7918
0.7754 0.0521 0.5523
0.7754 0.4479 0.5523
0.8426 0.2500 0.0992
0.0388 0.7500 0.2829
0.0872 0.0791 0.2903
0.0872 0.4209 0.2903
0.2484 0.2500 0.0701
0.2614 0.6068 0.0511
0.2614 0.8932 0.0511
0.4054 0.0711 0.6139
0.4054 0.4289 0.6139
0.4262 0.7500 0.6217
0.5738 0.2500 0.3783
0.5946 0.5711 0.3861
0.5946 0.9289 0.3861
0.7386 0.1068 0.9489
0.7386 0.3932 0.9489
0.7516 0.7500 0.9299
0.9128 0.5791 0.7097
0.9128 0.9209 0.7097
0.9612 0.2500 0.7171
```

---

No. 2
Diffraction record for BaSnS3. The X-ray diffraction stick pattern is computed, not measured: it uses a crystal structure in the Materials Project, relaxed with PBE and Cu Kα (λ = 1.5418 Å).
Intensities are scaled so that the largest is 1000.

Top 10 peaks for 2θ = 15–90°, sorted by position:
| 2theta | I (rel.) |
| --- | --- |
| 20.79 | 627 |
| 21.53 | 492 |
| 25.31 | 680 |
| 26.27 | 421 |
| 27.42 | 428 |
| 31.16 | 601 |
| 32.01 | 471 |
| 32.93 | 1000 |
| 37.88 | 491 |
| 46.09 | 440 |

Crystal structure
```
BaSnS3
1.0
8.5963 0.0000 0.0000
0.0000 3.9945 0.0000
0.0000 0.0000 14.7711
Ba Sn S
4 4 12
direct
0.0773 0.2500 0.1742
0.4227 0.7500 0.6742
0.5773 0.2500 0.3258
0.9227 0.7500 0.8258
0.1687 0.7500 0.4426
0.3313 0.2500 0.9426
0.6687 0.7500 0.0574
0.8313 0.2500 0.5574
0.0282 0.7500 0.6005
0.1593 0.7500 0.0018
0.2105 0.2500 0.7904
0.2895 0.7500 0.2904
0.3407 0.2500 0.5018
0.4718 0.2500 0.1005
0.5282 0.7500 0.8995
0.6593 0.7500 0.4982
0.7105 0.2500 0.7096
0.7895 0.7500 0.2096
0.8407 0.2500 0.9982
0.9718 0.2500 0.3995
```

---

No. 3
Diffraction record for Ba2SnS4. The X-ray diffraction stick pattern is computed, not measured: it uses a crystal structure in the Materials Project, relaxed with PBE and Cu Kα (λ = 1.5418 Å).
Intensities are scaled so that the largest is 1000.

Top 10 peaks for 2θ = 15–90°, sorted by position:
| 2theta | I (rel.) |
| --- | --- |
| 20.69 | 219 |
| 22.98 | 270 |
| 23.67 | 356 |
| 23.97 | 1000 |
| 24.14 | 148 |
| 28.77 | 204 |
| 32.81 | 245 |
| 34.03 | 168 |
| 37.57 | 177 |
| 41.79 | 181 |

Crystal structure
```
Ba2SnS4
1.0
18.0747 0.0000 0.0000
0.0000 7.5182 0.0000
0.0000 0.0000 12.8213
Ba Sn S
16 8 32
direct
0.0554 0.2254 0.1466
0.1251 0.1982 0.7636
0.1262 0.7175 0.3867
0.1883 0.6989 0.0000
0.3117 0.1989 0.5000
0.3738 0.2175 0.8867
0.3749 0.6982 0.2636
0.4446 0.7254 0.6466
0.5554 0.2746 0.1466
0.6251 0.3018 0.7636
0.6262 0.7825 0.3867
0.6883 0.8011 0.0000
0.8117 0.3011 0.5000
0.8738 0.2825 0.8867
0.8749 0.8018 0.2636
0.9446 0.7746 0.6466
0.0241 0.2711 0.4934
0.2335 0.7152 0.6579
0.2665 0.2152 0.1579
0.4759 0.7711 0.9934
0.5241 0.2289 0.4934
0.7335 0.7848 0.6579
0.7665 0.2848 0.1579
0.9759 0.7289 0.9934
0.0075 0.0398 0.3684
0.0368 0.4607 0.9301
0.0425 0.7972 0.1525
0.1148 0.8407 0.6216
0.1485 0.3544 0.5329
0.1987 0.1336 0.0004
0.1992 0.4820 0.2104
0.2486 0.5000 0.7946
0.2514 0.0000 0.2946
0.3013 0.6336 0.5004
0.3008 0.9820 0.7104
0.3515 0.8544 0.0329
0.3852 0.3407 0.1216
0.4575 0.2972 0.6525
0.4632 0.9607 0.4301
0.4925 0.5398 0.8684
0.5075 0.4602 0.3684
0.5368 0.0393 0.9301
0.5425 0.7028 0.1525
0.6148 0.6593 0.6216
0.6485 0.1456 0.5329
0.6992 0.0180 0.2104
0.6987 0.3664 0.0004
0.7486 0.0000 0.7946
0.7514 0.5000 0.2946
0.8008 0.5180 0.7104
0.8013 0.8664 0.5004
0.8515 0.6456 0.0329
0.8852 0.1593 0.1216
0.9575 0.2028 0.6525
0.9632 0.5393 0.4301
0.9925 0.9602 0.8684
```

---

No. 4
Diffraction record for BaSn2S3. The X-ray diffraction stick pattern is computed, not measured: it uses a crystal structure in the Materials Project, relaxed with PBE and Cu Kα (λ = 1.5418 Å).
Intensities are scaled so that the largest is 1000.

Top 10 peaks for 2θ = 15–90°, sorted by position:
| 2theta | I (rel.) |
| --- | --- |
| 25.60 | 1000 |
| 29.18 | 508 |
| 29.82 | 875 |
| 30.08 | 793 |
| 30.19 | 729 |
| 36.86 | 319 |
| 37.14 | 341 |
| 42.02 | 331 |
| 42.32 | 526 |
| 52.61 | 354 |

Crystal structure
```
BaSn2S3
1.0
11.9847 0.0000 0.0000
0.0000 4.2736 0.0000
-0.1399 0.0000 13.1549
Ba Sn S
4 8 12
direct
0.0000 0.0000 0.0000
0.0017 0.0000 0.6626
0.5147 0.0000 0.7855
0.9958 0.0000 0.3320
0.2427 0.5000 0.9376
0.2511 0.5000 0.2695
0.2530 0.5000 0.5983
0.4848 0.0000 0.4428
0.4884 0.0000 0.1086
0.7368 0.5000 0.1841
0.7381 0.5000 0.5136
0.7479 0.5000 0.8473
0.2410 0.0000 0.8133
0.2520 0.0000 0.4668
0.2616 0.0000 0.1387
0.4534 0.5000 0.9717
0.4567 0.5000 0.3052
0.4569 0.5000 0.6195
0.7315 0.0000 0.9731
0.7342 0.0000 0.3120
0.7363 0.0000 0.6442
0.9522 0.5000 0.1635
0.9529 0.5000 0.4974
0.9552 0.5000 0.8307
```

---

No. 5
Diffraction record for BaSn2S5. The X-ray diffraction stick pattern is computed, not measured: it uses a crystal structure in the Materials Project, relaxed with PBE and Cu Kα (λ = 1.5418 Å).
Intensities are scaled so that the largest is 1000.

Top 10 peaks for 2θ = 15–90°, sorted by position:
| 2theta | I (rel.) |
| --- | --- |
| 15.22 | 351 |
| 21.77 | 801 |
| 22.43 | 1000 |
| 26.40 | 475 |
| 28.03 | 818 |
| 31.74 | 372 |
| 33.53 | 482 |
| 34.91 | 908 |
| 46.74 | 498 |
| 48.39 | 333 |

Crystal structure
```
BaSn2S5
1.0
6.7520 0.0000 0.0000
0.0000 10.8290 0.0000
0.0000 0.0000 11.6401
Ba Sn S
4 8 20
direct
0.2500 0.2500 0.1981
0.2500 0.2500 0.6981
0.7500 0.7500 0.3019
0.7500 0.7500 0.8019
0.2464 0.5593 0.4727
0.2464 0.9407 0.9727
0.2536 0.5593 0.9727
0.2536 0.9407 0.4727
0.7464 0.0593 0.5273
0.7464 0.4407 0.0273
0.7536 0.0593 0.0273
0.7536 0.4407 0.5273
0.0496 0.5282 0.6482
0.0496 0.9718 0.1482
0.0714 0.1345 0.4357
0.0714 0.3655 0.9357
0.2500 0.7500 0.3471
0.2500 0.7500 0.8471
0.4286 0.1345 0.9357
0.4286 0.3655 0.4357
0.4504 0.5282 0.1482
0.4504 0.9718 0.6482
0.5496 0.0282 0.3518
0.5496 0.4718 0.8518
0.5714 0.6345 0.5643
0.5714 0.8655 0.0643
0.7500 0.2500 0.1529
0.7500 0.2500 0.6529
0.9286 0.6345 0.0643
0.9286 0.8655 0.5643
0.9504 0.0282 0.8518
0.9504 0.4718 0.3518
```

---

No. 6
Diffraction record for Ba3SnS4. The X-ray diffraction stick pattern is computed, not measured: it uses a crystal structure in the Materials Project, relaxed with PBE and Cu Kα (λ = 1.5418 Å).
Intensities are scaled so that the largest is 1000.

Top 10 peaks for 2θ = 15–90°, sorted by position:
| 2theta | I (rel.) |
| --- | --- |
| 24.35 | 635 |
| 28.18 | 1000 |
| 40.28 | 744 |
| 47.63 | 338 |
| 49.89 | 263 |
| 58.28 | 123 |
| 64.10 | 144 |
| 65.97 | 341 |
| 73.22 | 254 |
| 78.48 | 110 |

Crystal structure
```
Ba3SnS4
1.0
6.3326 0.0000 0.0000
0.0000 6.3326 0.0000
0.0000 0.0000 6.3326
Ba Sn S
3 1 4
direct
0.0000 0.0000 0.5000
0.0000 0.5000 0.0000
0.5000 0.0000 0.0000
0.5000 0.5000 0.5000
0.0000 0.0000 0.0000
0.0000 0.5000 0.5000
0.5000 0.0000 0.5000
0.5000 0.5000 0.0000
```

---

No. 7
Diffraction record for BaZnSnS4. The X-ray diffraction stick pattern is computed, not measured: it uses a crystal structure in the Materials Project, relaxed with PBE and Cu Kα (λ = 1.5418 Å).
Intensities are scaled so that the largest is 1000.

Top 10 peaks for 2θ = 15–90°, sorted by position:
| 2theta | I (rel.) |
| --- | --- |
| 15.83 | 150 |
| 22.59 | 1000 |
| 22.82 | 374 |
| 28.30 | 466 |
| 31.97 | 349 |
| 36.23 | 672 |
| 42.83 | 163 |
| 43.21 | 310 |
| 46.09 | 149 |
| 47.07 | 147 |

Crystal structure
```
BaZnSnS4
1.0
0.0000 11.1996 6.4287
10.8548 0.0000 6.4287
10.8548 11.1996 0.0000
Ba Zn Sn S
8 8 8 32
direct
0.0000 0.0000 0.0000
0.9998 0.4980 0.0035
0.2465 0.7513 0.2502
0.2500 0.2500 0.2500
0.4980 0.9998 0.4987
0.4976 0.4976 0.5024
0.7476 0.7476 0.7524
0.7513 0.2465 0.7520
0.1601 0.2647 0.5894
0.2317 0.7616 0.5177
0.2642 0.6606 0.9853
0.2647 0.1601 0.9858
0.6606 0.2642 0.0899
0.7323 0.7610 0.0183
0.7610 0.7323 0.4884
0.7616 0.2317 0.4890
0.0132 0.4857 0.7383
0.0925 0.9833 0.6577
0.4857 0.0132 0.7628
0.4872 0.5117 0.7643
0.5117 0.4872 0.2368
0.5923 0.9834 0.1575
0.9833 0.0925 0.2666
0.9834 0.5923 0.2667
0.0429 0.7040 0.5463
0.0429 0.7054 0.0452
0.0436 0.2048 0.5446
0.0450 0.2067 0.0437
0.2048 0.0436 0.2071
0.2063 0.5454 0.2050
0.2056 0.5458 0.7060
0.2067 0.0450 0.7046
0.2736 0.9624 0.4748
0.2815 0.9803 0.9667
0.2833 0.4785 0.9685
0.3085 0.4660 0.4395
0.4292 0.7797 0.3192
0.4640 0.8105 0.7840
0.4660 0.3085 0.7860
0.4785 0.2833 0.2697
0.5433 0.7037 0.5460
0.5440 0.7073 0.0444
0.5454 0.2063 0.0433
0.5458 0.2056 0.5427
0.7040 0.0429 0.7067
0.7037 0.5433 0.2071
0.7054 0.0429 0.2064
0.7073 0.5440 0.7042
0.7752 0.9608 0.9764
0.7781 0.9308 0.4703
0.7797 0.4292 0.4719
0.8105 0.4640 0.9415
0.9308 0.7781 0.8208
0.9608 0.7752 0.2876
0.9624 0.2736 0.2892
0.9803 0.2815 0.7715
```

---

No. 8
Diffraction record for BaTaS3. The X-ray diffraction stick pattern is computed, not measured: it uses a crystal structure in the Materials Project, relaxed with PBE and Cu Kα (λ = 1.5418 Å).
Intensities are scaled so that the largest is 1000.

Top 10 peaks for 2θ = 15–90°, sorted by position:
| 2theta | I (rel.) |
| --- | --- |
| 21.37 | 277 |
| 25.65 | 1000 |
| 33.63 | 528 |
| 34.57 | 645 |
| 39.65 | 150 |
| 43.54 | 548 |
| 45.23 | 223 |
| 51.22 | 407 |
| 52.72 | 296 |
| 64.58 | 216 |

Crystal structure
```
BaTaS3
1.0
6.9452 0.0000 0.0000
-3.4726 6.0147 0.0000
0.0000 0.0000 5.7528
Ba Ta S
2 2 6
direct
0.3333 0.6667 0.2500
0.6667 0.3333 0.7500
0.0000 0.0000 0.0000
0.0000 0.0000 0.5000
0.1697 0.3395 0.7500
0.1697 0.8303 0.7500
0.3395 0.1697 0.2500
0.6605 0.8303 0.7500
0.8303 0.1697 0.2500
0.8303 0.6605 0.2500
```